CsAs2AuO8: calculated powder X-ray diffraction pattern (Cu Kα, 1.54184 Å), based on a structure optimized by DFT (GGA-PBE).
Intensities are scaled so that the largest is 100.

Atomic structure:
```
data_CsAs2AuO8
_chemical_formula_sum 'Cs3 As6 Au3 O24'
_cell_length_a 5.3730
_cell_length_b 5.3730
_cell_length_c 27.8687
_cell_angle_alpha 90.00
_cell_angle_beta 90.00
_cell_angle_gamma 120.00
_space_group_name_H-M_alt 'R 3 2'
_space_group_IT_number 155
_space_group_name_Hall 'R 3 2"'
loop_
_atom_site_label
_atom_site_fract_x
_atom_site_fract_y
_atom_site_fract_z
Cs1 0.0000 0.0000 0.0000
As1 0.0000 0.0000 0.2318
Au1 0.0000 0.0000 0.5000
O1 0.0000 0.0000 0.2922
O2 0.0156 0.4238 0.1172
```

Largest 6 diffraction maxima, in order of rising 2θ, 2θ = 10–90°:
3.869 Å, 23.0 deg, rel. 100
2.789 Å, 32.1 deg, rel. 24
2.686 Å, 33.4 deg, rel. 34
2.207 Å, 40.9 deg, rel. 15
1.935 Å, 47.0 deg, rel. 12
1.705 Å, 53.8 deg, rel. 19